Simulated PXRD pattern
Compound: Ga3Au
Radiation: a wavelength of 1.5418 Å
Structure: the GGA-PBE geometry in the Materials Project
Kinematic intensities with the Lorentz-polarization factor, no thermal factor.

Principal peaks in the range 2θ from 5° to 70°, by angle:
2theta	I_rel
23.09	206
26.72	110
38.15	1000
45.07	114
47.19	33
55.06	171
60.48	49
62.23	45
68.95	345

Structure:
```
Ga3Au
1.0
0.0000 3.3360 3.3360
3.3360 0.0000 3.3360
3.3360 3.3360 0.0000
Ga Au
3 1
direct
0.0000 0.0000 0.0000 Ga
0.2500 0.2500 0.2500 Ga
0.7500 0.7500 0.7500 Ga
0.5000 0.5000 0.5000 Au
```